La3NpAs4: theoretical powder X-ray diffraction pattern (Cu Ka), based on a crystal structure in Alexandria, relaxed with GGA-PBE.
Peak positions follow from Bragg's law for the DFT cell and can differ from measured ones.

Crystal structure
Cell lengths 7.4690, 8.6237, 7.4565 Å; angles 90.00, 109.53, 90.00 degrees
Element x y z (fractional)
La  0.0000  0.1255  0.2500
La  0.0000  0.3753  0.7500
La  0.0000  0.6247  0.2500
La  0.0000  0.8745  0.7500
La  0.5000  0.1255  0.7500
La  0.5000  0.8745  0.2500
Np  0.5000  0.3762  0.2500
Np  0.5000  0.6238  0.7500
As  0.2556  0.1326  0.0082
As  0.2556  0.8674  0.5082
As  0.2640  0.3821  0.4984
As  0.2640  0.6179  0.9984
As  0.7360  0.3821  0.0016
As  0.7360  0.6179  0.5016
As  0.7444  0.1326  0.4918
As  0.7444  0.8674  0.9918

Main lines, in order of rising 2θ (2θ = 10–80°):
Position (°2θ)  d_spacing  Rel. int.
25.31  3.518  23
29.31  3.047  100
41.93  2.155  75
49.61  1.837  12
51.96  1.760  20
52.05  1.757  7
60.80  1.524  12
66.90  1.399  4
68.90  1.363  28
68.96  1.362  6
76.56  1.244  19
76.69  1.243  6

---

Sr2LaHg6: theoretical powder X-ray diffraction pattern (Cu Ka), based on a crystal structure in Alexandria, relaxed with GGA-PBE.
Peak positions follow from Bragg's law for the DFT cell and can differ from measured ones.

Crystal structure
Cell lengths 8.8813, 8.8813, 3.7194 Å; angles 90.00, 90.00, 120.00 degrees
Element x y z (fractional)
Sr  0.3333  0.6667  0.0000
Sr  0.6667  0.3333  0.0000
La  0.0000  0.0000  0.0000
Hg  0.0000  0.3331  0.5000
Hg  0.0000  0.6669  0.5000
Hg  0.3331  0.0000  0.5000
Hg  0.3331  0.3331  0.5000
Hg  0.6669  0.0000  0.5000
Hg  0.6669  0.6669  0.5000

Main lines, in order of rising 2θ (2θ = 10–80°):
Position (°2θ)  d_spacing  Rel. int.
19.99  4.441  14
23.92  3.719  29
31.37  2.851  97
35.00  2.564  100
42.84  2.111  40
47.70  1.906  31
48.98  1.860  13
60.52  1.530  30
61.61  1.505  40
62.77  1.480  19
68.19  1.375  10
73.94  1.282  12

---

Tl3In4Pb4: theoretical powder X-ray diffraction pattern (Cu Ka), based on a crystal structure in Alexandria, relaxed with GGA-PBE.
Peak positions follow from Bragg's law for the DFT cell and can differ from measured ones.

Crystal structure
Cell lengths 9.9597, 7.0519, 7.0519 Å; angles 43.84, 90.00, 90.00 degrees
Element x y z (fractional)
Tl  0.0000  0.0000  0.0000
Tl  0.2641  0.1675  0.1675
Tl  0.7359  0.1675  0.1675
In  0.0000  0.3327  0.3327
In  0.2718  0.8509  0.8509
In  0.5000  0.3434  0.3434
In  0.7282  0.8509  0.8509
Pb  0.0000  0.6937  0.6937
Pb  0.2492  0.4976  0.4976
Pb  0.5000  0.6735  0.6735
Pb  0.7508  0.4976  0.4976

Main lines, in order of rising 2θ (2θ = 10–80°):
Position (°2θ)  d_spacing  Rel. int.
25.54  3.487  6
32.14  2.785  100
34.05  2.633  23
36.07  2.490  18
41.41  2.181  12
50.45  1.809  14
54.65  1.679  10
56.05  1.641  10
59.75  1.548  17
62.40  1.488  13
67.24  1.392  10
69.71  1.349  8